(1)
Starting from a cell relaxed with PBE, the PXRD pattern of Tb3Y4S8 was calculated for Cu Ka.
Intensities are scaled so that the largest is 100.

Cell and atoms:
```
Tb3Y4S8
1.0
5.536 -5.536 0.000
5.536 5.536 0.000
-5.533 0.000 5.536
Tb Y S
3 4 8
Direct
0.000 0.000 0.000
0.000 0.500 0.000
0.500 0.000 0.000
0.000 0.500 0.500
0.500 0.000 0.500
0.500 0.500 0.000
0.500 0.500 0.500
0.250 0.250 0.501
0.250 0.250 0.999
0.250 0.750 0.000
0.250 0.750 0.500
0.750 0.250 0.000
0.750 0.250 0.500
0.750 0.750 0.001
0.750 0.750 0.499
```

Top 8 peaks for 2θ from 5° to 70°, in order of rising 2θ:
d_spacing	intensity
5.536	16
3.914	14
3.196	51
2.768	100
1.957	70
1.669	25
1.598	24
1.384	11

***

(2)
Starting from a cell relaxed with PBE, the PXRD pattern of Tb3YS6 was calculated for Cu Ka.
Intensities are scaled so that the largest is 100.

Cell and atoms:
```
Tb3YS6
1.0
5.760 3.325 4.565
-5.760 3.325 4.565
0.000 -6.651 4.565
Tb Y S
6 2 12
Direct
0.067 0.747 0.576
0.253 0.424 0.933
0.424 0.933 0.253
0.576 0.067 0.747
0.747 0.576 0.067
0.933 0.253 0.424
0.000 0.000 0.000
0.500 0.500 0.500
0.036 0.681 0.905
0.095 0.964 0.319
0.185 0.419 0.592
0.319 0.095 0.964
0.408 0.815 0.581
0.419 0.592 0.185
0.581 0.408 0.815
0.592 0.185 0.419
0.681 0.905 0.036
0.815 0.581 0.408
0.905 0.036 0.681
0.964 0.319 0.095
```

Top 8 peaks for 2θ from 5° to 70°, in order of rising 2θ:
d_spacing	intensity
4.565	50
3.635	100
3.578	34
3.303	45
2.565	37
2.535	46
2.177	44
2.122	26

***

(3)
Starting from a cell relaxed with PBE, the PXRD pattern of Tb2Y4S9 was calculated for Cu Ka.
Intensities are scaled so that the largest is 100.

Cell and atoms:
```
Tb2Y4S9
1.0
6.930 0.000 0.000
-3.465 6.001 0.000
0.000 0.000 18.566
Tb Y S
4 8 18
Direct
0.000 0.000 0.149
0.000 0.000 0.351
0.000 0.000 0.649
0.000 0.000 0.851
0.333 0.667 0.184
0.333 0.667 0.483
0.333 0.667 0.684
0.333 0.667 0.983
0.667 0.333 0.017
0.667 0.333 0.316
0.667 0.333 0.517
0.667 0.333 0.816
0.000 0.301 0.250
0.000 0.699 0.750
0.032 0.367 0.583
0.032 0.665 0.083
0.301 0.000 0.250
0.301 0.301 0.750
0.335 0.367 0.083
0.335 0.968 0.583
0.367 0.032 0.917
0.367 0.335 0.417
0.633 0.665 0.583
0.633 0.968 0.083
0.665 0.032 0.417
0.665 0.633 0.917
0.699 0.000 0.750
0.699 0.699 0.250
0.968 0.335 0.917
0.968 0.633 0.417
```

Top 8 peaks for 2θ from 5° to 70°, in order of rising 2θ:
d_spacing	intensity
5.040	48
3.672	100
3.465	87
2.520	51
2.308	93
2.038	49
2.000	57
1.773	29

***

(4)
Starting from a cell relaxed with PBE, the PXRD pattern of Tb3YS3 was calculated for Cu Ka.
Intensities are scaled so that the largest is 100.

Cell and atoms:
```
Tb3YS3
1.0
11.014 0.000 0.000
0.000 11.014 0.000
0.000 0.000 5.494
Tb Y S
12 4 12
Direct
0.120 0.373 0.000
0.127 0.127 0.500
0.127 0.620 0.500
0.373 0.120 0.000
0.373 0.627 0.000
0.380 0.873 0.500
0.620 0.127 0.500
0.627 0.373 0.000
0.627 0.880 0.000
0.873 0.380 0.500
0.873 0.873 0.500
0.880 0.627 0.000
0.122 0.878 0.000
0.378 0.378 0.500
0.622 0.622 0.500
0.878 0.122 0.000
0.125 0.125 0.000
0.126 0.627 0.000
0.127 0.374 0.500
0.373 0.874 0.000
0.374 0.127 0.500
0.375 0.625 0.500
0.625 0.375 0.500
0.626 0.873 0.500
0.627 0.126 0.000
0.873 0.626 0.500
0.874 0.373 0.000
0.875 0.875 0.000
```

Top 8 peaks for 2θ from 5° to 70°, in order of rising 2θ:
d_spacing	intensity
4.925	8
3.177	94
2.751	100
1.945	71
1.660	29
1.657	15
1.588	25
1.377	7

***

Number 3 is which compound? Tb2Y4S9